Diffraction record for Li7Ni12O24. The powder diffractogram is computed, not measured: it uses the PBE+U geometry in Alexandria and copper Kα.
Kinematic intensities with the Lorentz-polarization factor, no thermal factor.

Cell and atoms:
```
43
Lattice="6.426 -4.264 0.000 6.426 4.264 0.000 -6.397 0.000 7.531" Properties=species:S:1:pos:R:3 pbc="T T T"
Li 0.000 0.000 0.000
Li 1.594 1.616 1.812
Li -1.429 0.346 5.713
Li 3.227 0.313 3.766
Li 4.861 1.616 5.719
Li 7.884 0.346 1.818
Li 3.227 -2.638 3.766
Ni 4.010 3.015 0.951
Ni -0.814 0.240 2.814
Ni 0.833 1.677 4.665
Ni 2.444 3.015 6.580
Ni 4.004 0.177 0.914
Ni 5.621 1.677 2.866
Ni 0.839 -1.180 4.683
Ni 2.451 0.177 6.617
Ni 4.046 -2.654 0.967
Ni 5.615 -1.180 2.848
Ni 7.269 0.240 4.717
Ni 2.409 -2.654 6.564
O -3.772 0.324 5.245
O 0.666 3.076 5.953
O -2.231 1.492 7.095
O 2.077 0.239 0.246
O 5.789 3.076 1.578
O 3.656 1.546 2.151
O 1.023 0.368 3.306
O -0.990 -1.131 4.123
O 2.798 1.546 5.380
O 0.563 0.246 5.867
O -2.176 -1.267 7.190
O 8.686 1.492 0.437
O 5.891 0.246 1.664
O 3.812 -1.219 2.231
O 1.150 -2.648 3.499
O 5.431 0.368 4.225
O 2.643 -1.219 5.301
O 0.592 -2.740 6.039
O 4.378 0.239 7.285
O 8.631 -1.267 0.341
O 5.862 -2.740 1.492
O 10.227 0.324 2.287
O 7.445 -1.131 3.408
O 5.304 -2.648 4.032
```

Peak list (8 most intense, 2θ = 10–80°, sorted by position)
two_theta, I_rel
18.2, 100
36.7, 11
37.0, 22
38.5, 11
43.9, 18
44.4, 34
58.0, 10
63.1, 9